This entry pairs a crystal structure of Gd2Zn14Co3 with its simulated X-ray diffraction stick pattern. Radiation: a wavelength of 1.5418 Å. Structure: a DFT-relaxed cell (GGA-PBE, OQMD).
No peak broadening, texture or thermal motion is included.

Most intense lines, 2θ = 15–90°, in order of falling intensity:
d/Å  two_theta  I (rel.)
2.186  41.3  100
2.198  41.1  63
2.150  42.0  48
2.538  35.4  43
2.461  36.5  35
1.957  46.4  30
3.075  29.0  26
1.537  60.2  26
1.269  74.8  23
2.136  42.3  23

Cell and atoms:
Cell: 6.654 6.654 6.654 Å, 82.71 82.71 82.71°
Sites, in units of the cell vectors:
Gd (0.164, 0.164, 0.164)
Gd (0.836, 0.836, 0.836)
Zn (0.153, 0.153, 0.646)
Zn (0.153, 0.646, 0.153)
Zn (0.208, 0.500, 0.792)
Zn (0.208, 0.792, 0.500)
Zn (0.354, 0.847, 0.847)
Zn (0.394, 0.394, 0.394)
Zn (0.500, 0.208, 0.792)
Zn (0.500, 0.792, 0.208)
Zn (0.606, 0.606, 0.606)
Zn (0.646, 0.153, 0.153)
Zn (0.792, 0.208, 0.500)
Zn (0.792, 0.500, 0.208)
Zn (0.847, 0.354, 0.847)
Zn (0.847, 0.847, 0.354)
Co (0.000, 0.500, 0.500)
Co (0.500, 0.000, 0.500)
Co (0.500, 0.500, 0.000)